For Cs3Mn2Cl3F4, a DFT-relaxed cell (PBE+U, Alexandria) gives the theoretical XRD peak list in this record (λ = 1.5418 Å (Cu Kα)).
Kinematic intensities with the Lorentz-polarization factor, no thermal factor.

Atomic structure:
```
data_Cs3Mn2Cl3F4
_symmetry_space_group_name_H-M 'I m m m'
_symmetry_Int_Tables_number 71
_symmetry_space_group_name_Hall '-I 2 2'
_cell_length_a 4.3476
_cell_length_b 5.1862
_cell_length_c 25.9547
_cell_angle_alpha 90.00
_cell_angle_beta 90.00
_cell_angle_gamma 90.00
loop_
_atom_site_label
_atom_site_fract_x
_atom_site_fract_y
_atom_site_fract_z
_atom_site_occupancy
Cs1 0.0000 0.0000 0.0000 1
Cs2 0.0000 0.0000 0.1964 1
Mn1 0.0000 0.0000 0.3928 1
Cl1 0.0000 0.0000 0.5000 1
Cl2 0.0000 0.5000 0.3986 1
F1 0.0000 0.0000 0.3115 1
F2 0.0000 0.5000 0.1078 1
```

Largest 10 diffraction maxima, by angle, 5° ≤ 2θ ≤ 70°:
2θ 24.26, rel. 45.0, hkl 0 1 5
2θ 26.75, rel. 100.0, hkl 1 1 0
2θ 30.15, rel. 16.7, hkl 1 1 4
2θ 33.96, rel. 24.8, hkl 1 1 6
2θ 34.58, rel. 53.8, hkl 0 2 0
2θ 41.54, rel. 16.4, hkl 2 0 0
2θ 44.25, rel. 47.8, hkl 1 2 5
2θ 48.69, rel. 13.9, hkl 2 1 5
2θ 49.70, rel. 17.1, hkl 0 2 10
2θ 55.12, rel. 25.8, hkl 2 2 0